# Rb3Er3PtO8
Simulated powder diffractogram, Cu Kα, 1.54184 Å. Input: a DFT-relaxed cell (PBE, Alexandria).

Atomic structure:
Unit cell a=7.650 b=7.650 c=7.650 alpha=52.48 beta=52.48 gamma=52.48
Sites, in units of the cell vectors:
Rb: 0.000 0.500 0.500
Rb: 0.500 0.000 0.500
Rb: 0.500 0.500 0.000
Er: 0.000 0.000 0.500
Er: 0.000 0.500 0.000
Er: 0.500 0.000 0.000
Pt: 0.500 0.500 0.500
O: 0.223 0.223 0.223
O: 0.243 0.711 0.711
O: 0.289 0.289 0.757
O: 0.289 0.757 0.289
O: 0.711 0.243 0.711
O: 0.711 0.711 0.243
O: 0.757 0.289 0.289
O: 0.777 0.777 0.777

Most intense lines, 2θ = 5–70°, low angle first:
13.5 deg, intensity 78.2; 27.1 deg, intensity 47.8; 30.9 deg, intensity 21.5; 31.9 deg, intensity 82.6; 35.6 deg, intensity 100.0; 48.2 deg, intensity 36.2; 54.2 deg, intensity 30.4; 56.2 deg, intensity 34.7; 61.7 deg, intensity 30.3; 66.6 deg, intensity 15.3


# TaFe4Ge
Simulated powder diffractogram, Cu Kα, 1.54184 Å. Input: a DFT-relaxed cell (PBE, Alexandria).

Atomic structure:
Unit cell a=4.773 b=4.773 c=4.773 alpha=60.00 beta=60.00 gamma=60.00
Sites, in units of the cell vectors:
Ta: 0.000 0.000 0.000
Fe: 0.375 0.375 0.375
Fe: 0.375 0.375 0.876
Fe: 0.375 0.876 0.375
Fe: 0.876 0.375 0.375
Ge: 0.750 0.750 0.750

Most intense lines, 2θ = 5–70°, low angle first:
22.8 deg, intensity 18.1; 26.4 deg, intensity 11.1; 37.7 deg, intensity 55.5; 44.5 deg, intensity 100.0; 46.6 deg, intensity 20.1; 59.7 deg, intensity 4.5; 61.4 deg, intensity 4.7; 68.0 deg, intensity 19.6